Record 1
The following is a simulated XRD peak list of Li7Mn5O12. It was derived from the GGA+U geometry in the Materials Project, using Cu Kα, 1.54184 Å.
No peak broadening, texture or thermal motion is included.

Structure:
```
24
Lattice="5.8520 0.0000 0.0000 2.8728 5.2302 0.0000 2.9000 -0.4343 7.2006" Properties=species:S:1:pos:R:3 pbc="T T T"
Li 0.0000 0.0000 0.0000
Li 1.4364 2.6151 0.0000
Li 2.9073 1.6125 2.3766
Li 4.3345 0.5472 4.8504
Li 2.9260 0.0000 0.0000
Li 7.2902 4.2488 2.3501
Li 8.7175 3.1835 4.8239
Mn 4.3359 4.2694 2.3530
Mn 5.7979 3.1904 4.8370
Mn 4.3624 2.6151 0.0000
Mn 5.8268 1.6055 2.3635
Mn 7.2889 0.5266 4.8476
O 1.3619 0.7752 1.3265
O 3.0425 3.4122 1.2138
O 2.8091 -0.1896 3.5583
O 4.4862 2.4864 3.5277
O 7.1883 3.7803 6.0632
O 5.9159 1.3266 6.0794
O 5.7089 3.4694 1.1212
O 4.4365 1.0156 1.1373
O 7.1386 2.3096 3.6728
O 8.8157 4.9856 3.6422
O 8.5822 1.3837 5.9868
O 10.2629 4.0208 5.8740
```

Peak list (10 most intense, 15 to 90 degrees two-theta, in order of rising 2θ)
2θ = 18.3°, d 4.843, I = 100; 2θ = 34.4°, d 2.606, I = 17; 2θ = 36.0°, d 2.492, I = 12; 2θ = 36.4°, d 2.471, I = 12; 2θ = 41.5°, d 2.177, I = 34; 2θ = 43.9°, d 2.063, I = 29; 2θ = 44.3°, d 2.045, I = 28; 2θ = 61.7°, d 1.503, I = 9; 2θ = 62.2°, d 1.492, I = 16; 2θ = 64.6°, d 1.442, I = 10



Record 2
The following is a simulated XRD peak list of Tm2W3O12. It was derived from the GGA+U geometry in the Materials Project, using Cu Kα, 1.54184 Å.
No peak broadening, texture or thermal motion is included.

Structure:
```
34
Lattice="3.8379 -5.7022 0.0000 3.8379 5.7022 0.0000 -3.7727 0.0000 10.6691" Properties=species:S:1:pos:R:3 pbc="T T T"
Tm 0.9216 1.3956 0.9777
Tm -0.9648 -1.3956 6.3122
Tm 4.8679 1.3956 4.3569
Tm 2.9816 -1.3956 9.6914
W 2.8948 4.1975 2.6673
W 1.0111 1.2320 4.7941
W -0.8753 -1.2320 10.1286
W 4.7784 1.2320 0.5404
W 2.8921 -1.2320 5.8750
W 1.0084 -4.1975 8.0018
O 2.4313 3.3136 1.1092
O -0.7473 0.5694 4.9243
O 0.9854 2.0476 3.1538
O -1.4067 0.4527 7.6759
O -2.6336 -0.5694 10.2588
O 0.4797 -0.4527 2.3414
O 1.3390 2.5117 5.9928
O 0.6778 2.5117 10.0108
O 3.3582 3.3136 4.2253
O 3.0364 0.4421 0.8051
O -0.9009 -2.0476 8.4883
O 1.1500 -0.4421 6.1396
O 2.7531 0.4421 4.5294
O 4.8041 2.0476 2.1807
O 0.8668 -0.4421 9.8640
O 0.5449 -3.3136 6.4438
O 3.2253 -2.5117 0.6583
O 2.5642 -2.5117 4.6763
O 3.4235 0.4527 8.3277
O 6.5368 0.5694 0.4103
O 5.3098 -0.4527 2.9932
O 2.9178 -2.0476 7.5153
O 4.6504 -0.5694 5.7448
O 1.4719 -3.3136 9.5598
```

Peak list (10 most intense, 15 to 90 degrees two-theta, in order of rising 2θ)
2θ = 16.6°, d 5.335, I = 17; 2θ = 18.7°, d 4.742, I = 16; 2θ = 28.0°, d 3.184, I = 100; 2θ = 29.6°, d 3.018, I = 73; 2θ = 31.4°, d 2.851, I = 28; 2θ = 34.3°, d 2.617, I = 17; 2θ = 34.5°, d 2.601, I = 17; 2θ = 47.1°, d 1.928, I = 22; 2θ = 47.3°, d 1.920, I = 37; 2θ = 53.8°, d 1.703, I = 15



Record 3
The following is a simulated XRD peak list of V3Se2ClO8. It was derived from the GGA+U geometry in the Materials Project, using Cu Kα, 1.54184 Å.
No peak broadening, texture or thermal motion is included.

Structure:
```
28
Lattice="6.7151 0.0000 0.0000 -0.0837 7.9156 0.0000 -0.2270 -0.0216 9.9234" Properties=species:S:1:pos:R:3 pbc="T T T"
V 0.0000 0.0000 0.0000
V -0.1135 -0.0108 4.9617
V 1.3637 6.4151 2.4730
V 3.3576 0.0000 0.0000
V 3.2440 -0.0108 4.9617
V 5.0407 1.4789 7.4505
Se 1.3819 5.0657 9.4091
Se 1.4912 5.0957 5.5005
Se 4.9132 2.7982 4.4229
Se 5.0225 2.8282 0.5143
Cl 0.7369 1.0056 7.5959
Cl 5.6676 6.8884 2.3276
O 0.1008 6.0707 5.7253
O 0.0294 6.0760 9.1225
O 1.4864 7.6944 3.9690
O 1.6157 4.8943 1.1975
O 1.5999 7.7004 1.0093
O 1.5990 4.9141 3.7945
O 2.8383 6.2019 5.7905
O 2.7726 6.1315 9.1987
O 3.6318 1.7625 0.7247
O 3.5661 1.6920 4.1330
O 4.8054 2.9799 6.1290
O 4.8045 0.1936 8.9142
O 4.7887 2.9997 8.7259
O 4.9180 0.1996 5.9545
O 6.3750 1.8180 0.8009
O 6.3036 1.8233 4.1982
```

Peak list (10 most intense, 15 to 90 degrees two-theta, in order of rising 2θ)
2θ = 17.2°, d 5.147, I = 73; 2θ = 17.4°, d 5.093, I = 100; 2θ = 17.9°, d 4.962, I = 72; 2θ = 24.2°, d 3.676, I = 17; 2θ = 26.0°, d 3.425, I = 19; 2θ = 26.3°, d 3.394, I = 23; 2θ = 28.8°, d 3.101, I = 24; 2θ = 29.3°, d 3.052, I = 56; 2θ = 34.0°, d 2.640, I = 30; 2θ = 38.7°, d 2.330, I = 41



Record 4
The following is a simulated XRD peak list of Li9Mn2Co5O16. It was derived from the GGA+U geometry in the Materials Project, using Cu Kα, 1.54184 Å.
No peak broadening, texture or thermal motion is included.

Structure:
```
32
Lattice="5.1406 0.0000 0.0000 -0.6219 6.4198 0.0000 -0.6471 -1.0898 8.5297" Properties=species:S:1:pos:R:3 pbc="T T T"
Li 0.0000 0.0000 0.0000
Li 0.8894 2.6868 0.5190
Li 0.9150 0.8688 2.6103
Li 0.2677 3.6088 7.0003
Li 0.2862 5.3876 4.8044
Li 3.5854 -0.0575 3.7254
Li 3.6039 1.7212 1.5294
Li 2.9566 4.4612 5.9194
Li 2.9822 2.6432 8.0107
Mn 4.4987 0.7644 6.4247
Mn -0.6271 4.5656 2.1050
Co -0.6345 2.6650 4.2649
Co 1.9150 -0.1798 7.4864
Co 1.9288 1.7368 5.3219
Co 1.9428 3.5932 3.2078
Co 1.9566 5.5098 1.0433
O 0.0900 2.7677 2.4846
O 0.0932 0.9233 4.5996
O -0.5015 5.4807 6.6186
O 0.1441 4.5648 0.4030
O 1.0646 1.5317 7.0597
O 1.0716 5.2921 2.8167
O 1.2209 3.4841 4.9731
O 1.8976 0.8353 0.7339
O 1.9740 4.4947 7.7958
O 2.6507 1.8459 3.5566
O 2.8000 0.0380 5.7130
O 2.8070 3.7983 1.4700
O 3.7274 0.7653 8.1268
O 4.3731 -0.1507 1.9111
O 3.7784 4.4067 3.9301
O 3.7815 2.5623 6.0452
```

Peak list (10 most intense, 15 to 90 degrees two-theta, in order of rising 2θ)
2θ = 18.4°, d 4.818, I = 100; 2θ = 35.2°, d 2.549, I = 16; 2θ = 36.8°, d 2.445, I = 12; 2θ = 36.9°, d 2.437, I = 12; 2θ = 42.2°, d 2.141, I = 30; 2θ = 44.6°, d 2.032, I = 25; 2θ = 44.8°, d 2.022, I = 25; 2θ = 62.8°, d 1.480, I = 8; 2θ = 63.4°, d 1.468, I = 7; 2θ = 65.8°, d 1.420, I = 9



Record 5
The following is a simulated XRD peak list of Ba3MnSb2O9. It was derived from the GGA+U geometry in the Materials Project, using Cu Kα, 1.54184 Å.
No peak broadening, texture or thermal motion is included.

Structure:
```
30
Lattice="2.9979 -5.1851 0.0000 2.9979 5.1851 0.0000 -0.2989 0.0000 14.8260" Properties=species:S:1:pos:R:3 pbc="T T T"
Ba 2.7738 5.1574 11.1195
Ba 2.8363 1.7348 6.1071
Ba 3.0101 1.7348 1.3059
Ba 2.6869 -1.7348 13.5201
Ba 2.8606 -1.7348 8.7189
Ba 2.9232 -5.1574 3.7065
Mn 0.0000 0.0000 0.0000
Mn -0.1494 0.0000 7.4130
Sb 2.6742 1.7231 12.5605
Sb 2.8733 1.7231 9.6785
Sb 2.8237 -1.7231 5.1475
Sb 3.0227 -1.7231 2.2655
O 1.4539 2.4842 11.0027
O 2.5675 3.4153 13.5509
O 1.1168 0.8895 13.4189
O 1.5222 0.8891 8.5258
O 2.9800 3.4153 8.6882
O 1.2662 -0.8895 6.0059
O 1.6717 -0.8891 1.1128
O 4.0936 2.4842 11.2363
O 2.7738 0.1911 11.1195
O 2.9232 -0.1911 3.7065
O 1.6034 -2.4842 3.5897
O 4.0253 0.8891 13.7132
O 4.4307 0.8895 8.8201
O 2.7170 -3.4153 6.1379
O 4.1748 -0.8891 6.3002
O 4.5802 -0.8895 1.4071
O 3.1295 -3.4153 1.2751
O 4.2430 -2.4842 3.8233
```

Peak list (10 most intense, 15 to 90 degrees two-theta, in order of rising 2θ)
2θ = 29.4°, d 3.041, I = 17; 2θ = 29.6°, d 3.015, I = 16; 2θ = 29.8°, d 2.995, I = 100; 2θ = 34.9°, d 2.574, I = 7; 2θ = 42.2°, d 2.143, I = 9; 2θ = 42.6°, d 2.124, I = 9; 2θ = 42.9°, d 2.109, I = 10; 2θ = 46.1°, d 1.971, I = 7; 2θ = 53.0°, d 1.729, I = 20; 2θ = 62.0°, d 1.498, I = 16



Record 6
The following is a simulated XRD peak list of Na2MnBPO7. It was derived from the GGA+U geometry in the Materials Project, using Cu Kα, 1.54184 Å.
No peak broadening, texture or thermal motion is included.

Structure:
```
24
Lattice="5.3358 0.0000 0.0000 0.0000 6.3955 0.0000 -0.3479 0.0000 9.0961" Properties=species:S:1:pos:R:3 pbc="T T T"
Na 1.1726 0.0267 2.4989
Na 1.1726 3.1710 2.4989
Na 3.8154 3.2245 6.5972
Na 3.8154 6.3687 6.5972
Mn 0.8801 1.5989 7.6825
Mn 4.1079 4.7966 1.4136
B 1.2494 1.5989 5.2888
B 3.7386 4.7966 3.8073
P 1.1719 4.7966 8.4835
P 3.8160 1.5989 0.6126
O 0.0074 1.5989 5.9516
O 0.6808 4.7966 0.6813
O 0.8216 3.5698 7.5955
O 0.8216 6.0234 7.5955
O 1.4645 1.5989 3.9977
O 2.2914 1.5989 0.2787
O 2.2301 1.5989 6.3192
O 2.7578 4.7966 2.7769
O 2.6966 4.7966 8.8174
O 3.5234 4.7966 5.0984
O 4.1663 0.3720 1.5006
O 4.1663 2.8257 1.5006
O 4.3072 1.5989 8.4148
O 4.9805 4.7966 3.1445
```

Peak list (10 most intense, 15 to 90 degrees two-theta, in order of rising 2θ)
2θ = 16.9°, d 5.232, I = 100; 2θ = 21.7°, d 4.095, I = 32; 2θ = 24.1°, d 3.694, I = 37; 2θ = 25.2°, d 3.527, I = 93; 2θ = 26.2°, d 3.397, I = 36; 2θ = 27.9°, d 3.198, I = 55; 2θ = 33.6°, d 2.666, I = 56; 2θ = 34.0°, d 2.640, I = 43; 2θ = 34.3°, d 2.614, I = 68; 2θ = 37.4°, d 2.403, I = 32